[1]
For Nd5NiHg4, a crystal structure in Alexandria, relaxed with PBE gives the simulated X-ray powder pattern in this record (Cu Kα (λ = 1.5418 Å)).
Neutral-atom scattering factors, no anomalous dispersion.

Most intense lines, 2θ from 10° to 90°, by angle:
hkl 1 0 4, 2.954 Å, 30.25°, rel. 7.6; hkl 1 0 5, 2.684 Å, 33.39°, rel. 100.0; hkl 1 1 0, 2.645 Å, 33.89°, rel. 51.8; hkl 0 0 10, 1.926 Å, 47.18°, rel. 7.6; hkl 2 0 0, 1.870 Å, 48.68°, rel. 18.8; hkl 1 1 10, 1.557 Å, 59.35°, rel. 15.4; hkl 2 1 5, 1.534 Å, 60.32°, rel. 36.9; hkl 2 0 10, 1.342 Å, 70.13°, rel. 9.4; hkl 3 0 5, 1.186 Å, 81.06°, rel. 8.0; hkl 3 1 0, 1.183 Å, 81.34°, rel. 8.6

Structure:
```
data_Nd5NiHg4
_chemical_formula_sum 'Nd5 Ni1 Hg4'
_space_group_name_H-M_alt 'P 4/m m m'
_space_group_IT_number 123
_space_group_name_Hall '-P 4 2'
_cell_length_a 3.7408
_cell_length_b 3.7408
_cell_length_c 19.2631
_cell_angle_alpha 90.00
_cell_angle_beta 90.00
_cell_angle_gamma 90.00
loop_
_atom_site_label
_atom_site_type_symbol
_atom_site_fract_x
_atom_site_fract_y
_atom_site_fract_z
Nd1 Nd 0.0000 0.0000 0.0000
Nd2 Nd 0.0000 0.0000 0.2073
Nd3 Nd 0.0000 0.0000 0.4153
Ni1 Ni 0.5000 0.5000 0.5000
Hg1 Hg 0.5000 0.5000 0.1036
Hg2 Hg 0.5000 0.5000 0.3089
```

=====

[2]
For Tl7Sb2Pb2, a crystal structure in Alexandria, relaxed with PBE gives the simulated X-ray powder pattern in this record (Cu Kα (λ = 1.5418 Å)).
Neutral-atom scattering factors, no anomalous dispersion.

Most intense lines, 2θ from 10° to 90°, by angle:
hkl 3 1 0, 3.187 Å, 28.00°, rel. 39.3; hkl 1 3 1, 2.985 Å, 29.93°, rel. 100.0; hkl 2 0 -2, 2.912 Å, 30.70°, rel. 61.6; hkl 1 1 2, 2.625 Å, 34.15°, rel. 40.0; hkl 3 3 -1, 2.501 Å, 35.90°, rel. 55.2; hkl 4 0 0, 2.484 Å, 36.16°, rel. 19.4; hkl 2 4 -1, 2.433 Å, 36.94°, rel. 19.3; hkl 2 0 2, 2.325 Å, 38.72°, rel. 22.2; hkl 1 3 -3, 1.824 Å, 50.00°, rel. 25.1; hkl 4 4 1, 1.714 Å, 53.47°, rel. 20.0

Structure:
```
data_Tl7Sb2Pb2
_chemical_formula_sum 'Tl14 Sb4 Pb4'
_space_group_name_H-M_alt 'C 1 m 1'
_space_group_IT_number 8
_cell_length_a 10.2615
_cell_length_b 11.6737
_cell_length_c 6.2033
_cell_angle_alpha 90.00
_cell_angle_beta 104.44
_cell_angle_gamma 90.00
loop_
_space_group_symop_operation_xyz
'x,y,z'
'x,-y,z'
'x+1/2,y+1/2,z'
'x+1/2,-y+1/2,z'
loop_
_atom_site_label
_atom_site_type_symbol
_atom_site_fract_x
_atom_site_fract_y
_atom_site_fract_z
Tl1 Tl 0.0000 0.0000 0.0000
Tl2 Tl 0.0286 0.1508 0.4981
Tl3 Tl 0.0913 0.3489 0.0643
Tl4 Tl 0.3106 0.1431 0.2707
Sb1 Sb 0.3057 0.2881 0.7759
Pb1 Pb 0.1227 0.5000 0.5718
Pb2 Pb 0.3147 0.0000 0.7698
```